H3OsBr6: calculated powder X-ray diffraction pattern (Cu Kα), based on the GGA-PBE geometry in Alexandria.
No peak broadening, texture or thermal motion is included.

Atomic structure:
Unit cell a=6.0193 b=6.7560 c=7.0560 alpha=61.45 beta=87.11 gamma=88.53
Atoms (fractional coordinates):
H 0.0000 0.0000 0.0000
H 0.4876 0.3635 0.2740
H 0.5124 0.6365 0.7260
Os 0.0000 0.5000 0.0000
Br 0.2088 0.1697 0.9997
Br 0.2379 0.4858 0.2892
Br 0.2628 0.7742 0.7098
Br 0.7372 0.2258 0.2902
Br 0.7621 0.5142 0.7108
Br 0.7912 0.8303 0.0003

Largest 8 diffraction maxima, sorted by position, 2θ from 5° to 70°:
| Position (°2θ) | Rel. int. |
| --- | --- |
| 14.30 | 67 |
| 14.74 | 43 |
| 14.94 | 100 |
| 21.04 | 43 |
| 28.74 | 48 |
| 29.69 | 59 |
| 30.70 | 58 |
| 45.91 | 35 |

=====

Pr4HOsBr2: calculated powder X-ray diffraction pattern (Cu Kα), based on the GGA-PBE geometry in Alexandria.
No peak broadening, texture or thermal motion is included.

Atomic structure:
Unit cell a=6.7766 b=4.0763 c=8.2033 alpha=90.00 beta=106.68 gamma=90.00
Atoms (fractional coordinates):
Pr 0.2288 0.0000 0.1985
Pr 0.2565 0.5000 0.8037
Pr 0.7435 0.5000 0.1963
Pr 0.7712 0.0000 0.8015
H 0.0000 0.5000 0.0000
Os 0.5000 0.0000 0.0000
Br 0.0000 0.0000 0.5000
Br 0.5000 0.5000 0.5000

Largest 8 diffraction maxima, sorted by position, 2θ from 5° to 70°:
| Position (°2θ) | Rel. int. |
| --- | --- |
| 11.26 | 25 |
| 29.81 | 100 |
| 30.27 | 45 |
| 39.90 | 30 |
| 40.83 | 15 |
| 44.45 | 18 |
| 45.94 | 34 |
| 54.72 | 17 |

=====

PH6Br3: calculated powder X-ray diffraction pattern (Cu Kα), based on the GGA-PBE geometry in Alexandria.
No peak broadening, texture or thermal motion is included.

Atomic structure:
Unit cell a=5.4693 b=4.8721 c=11.1593 alpha=90.00 beta=98.17 gamma=90.00
Atoms (fractional coordinates):
P 0.0000 0.0000 0.0000
P 0.0000 0.5000 0.5000
H 0.1123 0.1127 0.8781
H 0.1123 0.3873 0.3781
H 0.1373 0.1955 0.1043
H 0.1373 0.3045 0.6043
H 0.2177 0.7122 0.5137
H 0.2177 0.7878 0.0137
H 0.7823 0.2122 0.9863
H 0.7823 0.2878 0.4863
H 0.8627 0.6955 0.3957
H 0.8627 0.8045 0.8957
H 0.8877 0.6127 0.6219
H 0.8877 0.8873 0.1219
Br 0.2431 0.0963 0.7405
Br 0.2431 0.4037 0.2405
Br 0.5000 0.0000 0.5000
Br 0.5000 0.5000 0.0000
Br 0.7569 0.5963 0.7595
Br 0.7569 0.9037 0.2595

Largest 8 diffraction maxima, sorted by position, 2θ from 5° to 70°:
| Position (°2θ) | Rel. int. |
| --- | --- |
| 24.59 | 23 |
| 26.62 | 100 |
| 32.42 | 34 |
| 33.00 | 55 |
| 34.77 | 29 |
| 37.83 | 17 |
| 39.09 | 24 |
| 50.39 | 16 |

=====

PH5Br2: calculated powder X-ray diffraction pattern (Cu Kα), based on the GGA-PBE geometry in Alexandria.
No peak broadening, texture or thermal motion is included.

Atomic structure:
Unit cell a=4.3180 b=5.5997 c=6.3931 alpha=64.26 beta=85.91 gamma=79.95
Atoms (fractional coordinates):
P 0.0000 0.0000 0.0000
H 0.0493 0.9850 0.7829
H 0.0553 0.7672 0.2156
H 0.3857 0.0031 0.9992
H 0.6186 0.9915 0.0006
H 0.9403 0.2542 0.0013
Br 0.4892 0.4497 0.4968
Br 0.4890 0.9464 0.5036

Largest 8 diffraction maxima, sorted by position, 2θ from 5° to 70°:
| Position (°2θ) | Rel. int. |
| --- | --- |
| 15.39 | 100 |
| 20.89 | 54 |
| 25.99 | 72 |
| 26.12 | 71 |
| 31.06 | 45 |
| 32.48 | 20 |
| 35.59 | 28 |
| 36.12 | 56 |

=====

PH4Br: calculated powder X-ray diffraction pattern (Cu Kα), based on the GGA-PBE geometry in Alexandria.
No peak broadening, texture or thermal motion is included.

Atomic structure:
Unit cell a=5.9995 b=5.9995 c=4.3134 alpha=90.00 beta=90.00 gamma=90.00
Atoms (fractional coordinates):
P 0.2500 0.7500 0.0000
P 0.7500 0.2500 0.0000
H 0.0584 0.7500 0.1930
H 0.2500 0.5584 0.8070
H 0.2500 0.9416 0.8070
H 0.4416 0.7500 0.1930
H 0.5584 0.2500 0.8070
H 0.7500 0.0584 0.1930
H 0.7500 0.4416 0.1930
H 0.9416 0.2500 0.8070
Br 0.2500 0.2500 0.4023
Br 0.7500 0.7500 0.5977

Largest 8 diffraction maxima, sorted by position, 2θ from 5° to 70°:
| Position (°2θ) | Rel. int. |
| --- | --- |
| 20.94 | 26 |
| 25.43 | 31 |
| 29.53 | 100 |
| 29.78 | 65 |
| 39.56 | 23 |
| 42.62 | 21 |
| 52.71 | 36 |
| 54.60 | 20 |

=====

PaH2Br4: calculated powder X-ray diffraction pattern (Cu Kα), based on the GGA-PBE geometry in Alexandria.
No peak broadening, texture or thermal motion is included.

Atomic structure:
Unit cell a=7.7249 b=7.7249 c=6.9839 alpha=109.76 beta=109.76 gamma=32.64
Atoms (fractional coordinates):
Pa 0.0000 0.0000 0.0000
H 0.1135 0.1135 0.8945
H 0.8865 0.8865 0.1055
Br 0.1252 0.1252 0.3853
Br 0.3906 0.3906 0.1026
Br 0.6094 0.6094 0.8974
Br 0.8748 0.8748 0.6147

Largest 8 diffraction maxima, sorted by position, 2θ from 5° to 70°:
| Position (°2θ) | Rel. int. |
| --- | --- |
| 12.76 | 64 |
| 13.55 | 47 |
| 14.99 | 46 |
| 21.45 | 28 |
| 28.20 | 100 |
| 34.20 | 29 |
| 36.78 | 25 |
| 44.90 | 50 |